[1]
Calculated powder diffraction line list
Compound: MnCo3Ni12
Radiation: Cu Ka
Structure: the GGA-PBE geometry in Alexandria
Neutral-atom scattering factors, no anomalous dispersion.

Structural model:
```
data_MnCo3Ni12
_space_group_name_H-M_alt 'P 4/m m m'
_space_group_IT_number 123
_space_group_name_Hall '-P 4 2'
_cell_length_a 3.530
_cell_length_b 3.530
_cell_length_c 14.184
_cell_angle_alpha 90.00
_cell_angle_beta 90.00
_cell_angle_gamma 90.00
loop_
_atom_site_label
_atom_site_fract_x
_atom_site_fract_y
_atom_site_fract_z
Mn1 0.000 0.000 0.000
Co1 0.000 0.000 0.252
Co2 0.000 0.000 0.500
Ni1 0.000 0.500 0.129
Ni2 0.000 0.500 0.376
Ni3 0.500 0.500 0.000
Ni4 0.500 0.500 0.252
Ni5 0.500 0.500 0.500
```

Principal peaks in the range 10 to 90 degrees two-theta, in order of rising 2θ:
- 2θ 44.38, 2.041 Å, I = 100
- 2θ 51.55, 1.773 Å, I = 15
- 2θ 51.79, 1.765 Å, I = 31
- 2θ 76.09, 1.251 Å, I = 18
- 2θ 76.29, 1.248 Å, I = 9

---

[2]
Calculated powder diffraction line list
Compound: MnCo4Ni8
Radiation: Cu Ka
Structure: the GGA-PBE geometry in Alexandria
Neutral-atom scattering factors, no anomalous dispersion.

Structural model:
```
data_MnCo4Ni8
_space_group_name_H-M_alt 'P -1'
_space_group_IT_number 2
_space_group_name_Hall '-P 1'
_cell_length_a 3.526
_cell_length_b 4.328
_cell_length_c 10.330
_cell_angle_alpha 86.12
_cell_angle_beta 89.95
_cell_angle_gamma 66.01
loop_
_atom_site_label
_atom_site_fract_x
_atom_site_fract_y
_atom_site_fract_z
Mn1 0.000 0.000 0.000
Co1 0.155 0.690 0.537
Co2 0.381 0.238 0.841
Ni1 0.077 0.845 0.768
Ni2 0.231 0.538 0.310
Ni3 0.308 0.384 0.079
Ni4 0.461 0.078 0.615
```

Principal peaks in the range 10 to 90 degrees two-theta, in order of rising 2θ:
- 2θ 44.38, 2.041 Å, I = 100
- 2θ 51.54, 1.773 Å, I = 16
- 2θ 51.74, 1.767 Å, I = 15
- 2θ 51.86, 1.763 Å, I = 15
- 2θ 76.05, 1.251 Å, I = 13
- 2θ 76.30, 1.248 Å, I = 9

---

[3]
Calculated powder diffraction line list
Compound: MnCo5Ni6
Radiation: Cu Ka
Structure: the GGA-PBE geometry in Alexandria
Neutral-atom scattering factors, no anomalous dispersion.

Structural model:
```
data_MnCo5Ni6
_space_group_name_H-M_alt 'P 63/m c m'
_space_group_IT_number 193
_space_group_name_Hall '-P 6c 2'
_cell_length_a 6.7537
_cell_length_b 6.7537
_cell_length_c 7.0926
_cell_angle_alpha 90.00
_cell_angle_beta 90.00
_cell_angle_gamma 120.00
loop_
_atom_site_label
_atom_site_fract_x
_atom_site_fract_y
_atom_site_fract_z
Mn1 0.0000 0.0000 0.2500
Co1 0.0000 0.3751 0.2500
Co2 0.3333 0.6667 0.0000
Ni1 0.0000 0.3128 0.5818
```

Principal peaks in the range 10 to 90 degrees two-theta, in order of rising 2θ:
- 2θ 39.96, 2.256 Å, I = 28
- 2θ 46.58, 1.950 Å, I = 100
- 2θ 46.91, 1.937 Å, I = 93
- 2θ 48.53, 1.876 Å, I = 12
- 2θ 68.26, 1.374 Å, I = 23
- 2θ 86.69, 1.123 Å, I = 18

---

[4]
Calculated powder diffraction line list
Compound: MnCo2Ni6
Radiation: Cu Ka
Structure: the GGA-PBE geometry in Alexandria
Neutral-atom scattering factors, no anomalous dispersion.

Structural model:
```
data_MnCo2Ni6
_space_group_name_H-M_alt 'C 1 2/m 1'
_space_group_IT_number 12
_space_group_name_Hall '-C 2y'
_cell_length_a 7.762
_cell_length_b 4.166
_cell_length_c 7.351
_cell_angle_alpha 90.00
_cell_angle_beta 121.80
_cell_angle_gamma 90.00
loop_
_atom_site_label
_atom_site_fract_x
_atom_site_fract_y
_atom_site_fract_z
Mn1 0.000 0.000 0.000
Co1 0.168 0.500 0.336
Ni1 0.001 0.000 0.667
Ni2 0.163 0.500 0.000
Ni3 0.166 0.500 0.667
```

Principal peaks in the range 10 to 90 degrees two-theta, in order of rising 2θ:
- 2θ 43.45, 2.083 Å, I = 63
- 2θ 46.73, 1.944 Å, I = 100
- 2θ 63.13, 1.473 Å, I = 19
- 2θ 73.16, 1.294 Å, I = 6
- 2θ 82.10, 1.174 Å, I = 34
- 2θ 89.08, 1.099 Å, I = 10